Structure and simulated XRD peak list of SmEr3Mn8 (a DFT-relaxed cell (GGA-PBE, the Materials Project); Cu Kα (weighted mean of Kα1 and Kα2)).
Intensities are scaled so that the largest is 100.

Crystal structure
```
SmEr3Mn8
1.0
4.3510 -2.5285 0.0000
4.3510 2.5285 0.0000
-0.0588 0.0000 8.6379
Sm Er Mn
1 3 8
Cartesian
0.0000 0.0000 0.0000 Sm
-0.0326 0.0000 5.4332 Er
5.7951 0.0000 1.1482 Er
5.7717 0.0000 4.3068 Er
1.4155 0.0000 2.7577 Mn
3.6187 1.2789 2.7495 Mn
2.8971 0.0000 0.5738 Mn
2.8673 0.0000 4.8675 Mn
4.3215 0.0000 7.0008 Mn
6.4686 1.2473 7.0061 Mn
3.6187 -1.2789 2.7495 Mn
6.4686 -1.2473 7.0061 Mn
```

Principal peaks in the range 2θ = 10–90°, sorted by position:
two_theta  I (rel.)
35.50  40
35.68  79
37.34  100
37.46  63
37.58  33
41.36  72
41.44  63
41.65  53
42.66  60
65.06  37

Structure and simulated XRD peak list of Be22Mo (a DFT-relaxed cell (GGA-PBE, the Materials Project); Cu Kα (weighted mean of Kα1 and Kα2)).
Intensities are scaled so that the largest is 100.

Crystal structure
```
Be22Mo
1.0
0.0000 5.7818 5.7818
5.7818 0.0000 5.7818
5.7818 5.7818 0.0000
Be Mo
44 2
Cartesian
0.0000 0.0000 0.0000 Be
2.8909 2.8909 0.0000 Be
2.8909 0.0000 2.8909 Be
5.7818 2.8909 2.8909 Be
4.3364 4.3364 0.1158 Be
4.3364 0.1158 4.3364 Be
8.5569 4.3364 4.3364 Be
3.5812 3.5812 2.0317 Be
5.0915 5.0915 2.0317 Be
3.5812 2.0317 3.5812 Be
6.6410 5.0915 3.5812 Be
5.0915 2.0317 5.0915 Be
6.6410 3.5812 5.0915 Be
7.2273 7.2273 3.0067 Be
7.2273 3.0067 7.2273 Be
11.4478 7.2273 7.2273 Be
7.9824 6.4721 4.9226 Be
7.9824 4.9226 6.4721 Be
9.5319 6.4721 6.4721 Be
2.0317 3.5812 3.5812 Be
5.0915 6.6410 3.5812 Be
5.0915 3.5812 6.6410 Be
0.0000 2.8909 2.8909 Be
2.8909 5.7818 2.8909 Be
2.8909 2.8909 5.7818 Be
5.7818 5.7818 5.7818 Be
6.4721 7.9824 4.9226 Be
6.4721 4.9226 7.9824 Be
9.5319 7.9824 7.9824 Be
2.0317 5.0915 5.0915 Be
3.5812 6.6410 5.0915 Be
3.5812 5.0915 6.6410 Be
0.1158 4.3364 4.3364 Be
4.3364 8.5569 4.3364 Be
4.3364 4.3364 8.5569 Be
4.9226 7.9824 6.4721 Be
6.4721 9.5319 6.4721 Be
4.9226 6.4721 7.9824 Be
7.9824 9.5319 7.9824 Be
6.4721 6.4721 9.5319 Be
7.9824 7.9824 9.5319 Be
3.0067 7.2273 7.2273 Be
7.2273 11.4478 7.2273 Be
7.2273 7.2273 11.4478 Be
4.3364 4.3364 4.3364 Mo
7.2273 7.2273 7.2273 Mo
```

Principal peaks in the range 2θ = 10–90°, sorted by position:
two_theta  I (rel.)
13.26  74
21.74  100
25.55  73
33.79  31
38.13  44
40.54  23
44.31  21
46.46  55
49.88  36
51.85  26